[1]
Calculated X-ray powder pattern
Compound: In3B
Radiation: Cu Kα, 1.54184 Å
Structure: a DFT-relaxed cell (PBE, the Materials Project)
Peak positions follow from Bragg's law for the DFT cell and can differ from measured ones.

Main lines, low angle first (2θ from 10° to 90°):
d = 4.444 Å, rel. 27, hkl 1 0 0; d = 3.142 Å, rel. 24, hkl 1 1 0; d = 2.566 Å, rel. 100, hkl 1 1 1; d = 2.222 Å, rel. 49, hkl 2 0 0; d = 1.987 Å, rel. 13, hkl 2 1 0; d = 1.814 Å, rel. 10, hkl 2 1 1; d = 1.571 Å, rel. 32, hkl 2 2 0; d = 1.481 Å, rel. 6, hkl 3 0 0; d = 1.340 Å, rel. 37, hkl 3 1 1; d = 1.283 Å, rel. 11, hkl 2 2 2

Atomic structure:
a = 4.4438 Å, b = 4.4438 Å, c = 4.4438 Å
α = 90.00°, β = 90.00°, γ = 90.00°
Space group Pm-3m (No. 221)
Inequivalent atoms, fractional coordinates:
In 0.0000 0.0000 0.5000 [3 per cell]
B 0.5000 0.5000 0.5000 [1 per cell]

=====

[2]
Calculated X-ray powder pattern
Compound: In5B4Ir9
Radiation: Cu Kα, 1.54184 Å
Structure: a DFT-relaxed cell (PBE, the Materials Project)
Peak positions follow from Bragg's law for the DFT cell and can differ from measured ones.

Main lines, low angle first (2θ from 10° to 90°):
d = 4.889 Å, rel. 19, hkl 1 0 0; d = 3.471 Å, rel. 32, hkl 0 0 3; d = 2.603 Å, rel. 30, hkl 0 0 4; d = 2.445 Å, rel. 100, hkl 2 0 0; d = 2.298 Å, rel. 19, hkl 1 0 4; d = 1.999 Å, rel. 73, hkl 2 0 3; d = 1.782 Å, rel. 38, hkl 2 0 4; d = 1.411 Å, rel. 25, hkl 2 2 0; d = 1.271 Å, rel. 18, hkl 2 0 7; d = 1.241 Å, rel. 17, hkl 2 2 4

Atomic structure:
a = 5.6456 Å, b = 5.6456 Å, c = 10.4133 Å
α = 90.00°, β = 90.00°, γ = 120.00°
Space group P-62m (No. 189)
Inequivalent atoms, fractional coordinates:
In 0.0000 0.0000 0.0000 [1 per cell]
In 0.0000 0.0000 0.3434 [2 per cell]
In 0.3333 0.6667 0.5000 [2 per cell]
B 0.3333 0.6667 0.1462 [4 per cell]
Ir 0.0000 0.4815 0.0000 [3 per cell]
Ir 0.0000 0.4812 0.2748 [6 per cell]

=====

[3]
Calculated X-ray powder pattern
Compound: La3InB
Radiation: Cu Kα, 1.54184 Å
Structure: a DFT-relaxed cell (PBE, the Materials Project)
Peak positions follow from Bragg's law for the DFT cell and can differ from measured ones.

Main lines, low angle first (2θ from 10° to 90°):
d = 5.329 Å, rel. 1, hkl 1 0 0; d = 3.077 Å, rel. 100, hkl 1 1 1; d = 2.664 Å, rel. 54, hkl 2 0 0; d = 1.884 Å, rel. 39, hkl 2 2 0; d = 1.607 Å, rel. 44, hkl 3 1 1; d = 1.538 Å, rel. 13, hkl 2 2 2; d = 1.332 Å, rel. 6, hkl 4 0 0; d = 1.223 Å, rel. 18, hkl 3 3 1; d = 1.192 Å, rel. 17, hkl 4 2 0

Atomic structure:
a = 5.3289 Å, b = 5.3289 Å, c = 5.3289 Å
α = 90.00°, β = 90.00°, γ = 90.00°
Space group Pm-3m (No. 221)
Inequivalent atoms, fractional coordinates:
La 0.0000 0.0000 0.5000 [3 per cell]
In 0.5000 0.5000 0.5000 [1 per cell]
B 0.0000 0.0000 0.0000 [1 per cell]

=====

[4]
Calculated X-ray powder pattern
Compound: Li3InB2O6
Radiation: Cu Kα, 1.54184 Å
Structure: a DFT-relaxed cell (PBE, the Materials Project)
Peak positions follow from Bragg's law for the DFT cell and can differ from measured ones.

Main lines, low angle first (2θ from 10° to 90°):
d = 6.796 Å, rel. 29, hkl 0 1 1; d = 4.716 Å, rel. 73, hkl 1 0 0; d = 4.529 Å, rel. 50, hkl 0 2 0; d = 4.475 Å, rel. 100, hkl 0 1 2; d = 4.133 Å, rel. 64, hkl 1 1 -2; d = 3.431 Å, rel. 52, hkl 1 2 -1; d = 2.894 Å, rel. 24, hkl 0 3 1; d = 2.615 Å, rel. 40, hkl 1 3 -1; d = 2.574 Å, rel. 59, hkl 0 0 4; d = 2.226 Å, rel. 25, hkl 2 2 -1

Atomic structure:
a = 5.2533 Å, b = 9.0469 Å, c = 11.4693 Å
α = 90.00°, β = 116.13°, γ = 90.00°
Space group P2_1/c (No. 14)
Inequivalent atoms, fractional coordinates:
Li 0.0149 0.0252 0.1732 [4 per cell]
Li 0.0514 0.6570 0.8823 [4 per cell]
Li 0.4221 0.0139 0.5962 [4 per cell]
In 0.4733 0.6721 0.6232 [4 per cell]
B 0.0442 0.1730 0.3805 [4 per cell]
B 0.4647 0.1691 0.1308 [4 per cell]
O 0.1012 0.1850 0.8485 [4 per cell]
O 0.1820 0.6545 0.0878 [4 per cell]
O 0.2039 0.0524 0.3807 [4 per cell]
O 0.3191 0.6697 0.4092 [4 per cell]
O 0.3388 0.0388 0.1406 [4 per cell]
O 0.3705 0.2005 0.6640 [4 per cell]

=====

[5]
Calculated X-ray powder pattern
Compound: LaB2Ir3
Radiation: Cu Kα, 1.54184 Å
Structure: a DFT-relaxed cell (PBE, the Materials Project)
Peak positions follow from Bragg's law for the DFT cell and can differ from measured ones.

Main lines, low angle first (2θ from 10° to 90°):
d = 3.120 Å, rel. 23, hkl 0 0 1; d = 2.623 Å, rel. 52, hkl 1 0 1; d = 2.422 Å, rel. 100, hkl 2 0 0; d = 2.083 Å, rel. 31, hkl 1 1 1; d = 1.913 Å, rel. 40, hkl 2 0 1; d = 1.579 Å, rel. 23, hkl 2 1 1; d = 1.399 Å, rel. 19, hkl 2 2 0; d = 1.312 Å, rel. 29, hkl 2 0 2; d = 1.234 Å, rel. 10, hkl 3 1 1; d = 1.211 Å, rel. 11, hkl 4 0 0

Atomic structure:
a = 5.5942 Å, b = 5.5942 Å, c = 3.1201 Å
α = 90.00°, β = 90.00°, γ = 120.00°
Space group P6/mmm (No. 191)
Inequivalent atoms, fractional coordinates:
La 0.0000 0.0000 0.0000 [1 per cell]
B 0.3333 0.6667 0.0000 [2 per cell]
Ir 0.0000 0.5000 0.5000 [3 per cell]

=====

[6]
Calculated X-ray powder pattern
Compound: LaB2Ir2
Radiation: Cu Kα, 1.54184 Å
Structure: a DFT-relaxed cell (PBE, the Materials Project)
Peak positions follow from Bragg's law for the DFT cell and can differ from measured ones.

Main lines, low angle first (2θ from 10° to 90°):
d = 5.970 Å, rel. 38, hkl 1 1 1; d = 2.985 Å, rel. 100, hkl 2 2 2; d = 2.588 Å, rel. 62, hkl 1 1 5; d = 2.496 Å, rel. 39, hkl 1 3 3; d = 2.331 Å, rel. 82, hkl 4 0 0; d = 2.036 Å, rel. 51, hkl 3 1 5; d = 1.990 Å, rel. 25, hkl 3 3 3; d = 1.648 Å, rel. 24, hkl 4 4 0; d = 1.533 Å, rel. 25, hkl 5 1 5; d = 1.294 Å, rel. 24, hkl 2 2 10

Atomic structure:
a = 9.3183 Å, b = 9.3275 Å, c = 14.0707 Å
α = 90.00°, β = 90.00°, γ = 90.00°
Space group Fddd (No. 70, origin choice 2)
Inequivalent atoms, fractional coordinates:
La 0.0000 0.0000 0.0000 [16 per cell]
B 0.0587 0.0546 0.7323 [32 per cell]
Ir 0.0184 0.0190 0.4064 [32 per cell]

=====

[7]
Calculated X-ray powder pattern
Compound: LaB4Ir2Os2
Radiation: Cu Kα, 1.54184 Å
Structure: a DFT-relaxed cell (PBE, the Materials Project)
Peak positions follow from Bragg's law for the DFT cell and can differ from measured ones.

Main lines, low angle first (2θ from 10° to 90°):
d = 5.436 Å, rel. 32, hkl 1 1 0; d = 3.229 Å, rel. 20, hkl 1 1 1; d = 2.611 Å, rel. 100, hkl 1 2 1; d = 2.431 Å, rel. 59, hkl 3 1 0; d = 2.251 Å, rel. 29, hkl 2 2 1; d = 1.942 Å, rel. 26, hkl 1 0 2; d = 1.883 Å, rel. 23, hkl 3 2 1; d = 1.580 Å, rel. 17, hkl 3 0 2; d = 1.366 Å, rel. 16, hkl 4 1 2; d = 1.221 Å, rel. 16, hkl 3 4 2

Atomic structure:
a = 7.6872 Å, b = 7.6872 Å, c = 4.0147 Å
α = 90.00°, β = 90.00°, γ = 90.00°
Space group P4_2 (No. 77)
Inequivalent atoms, fractional coordinates:
La 0.0000 0.5000 0.0000 [2 per cell]
B 0.1612 0.7850 0.6085 [4 per cell]
B 0.2795 0.3365 0.3911 [4 per cell]
Ir 0.3475 0.6099 0.3887 [4 per cell]
Os 0.1086 0.1453 0.6052 [4 per cell]

=====

[8]
Calculated X-ray powder pattern
Compound: LuB2Ir3
Radiation: Cu Kα, 1.54184 Å
Structure: a DFT-relaxed cell (PBE, the Materials Project)
Peak positions follow from Bragg's law for the DFT cell and can differ from measured ones.

Main lines, low angle first (2θ from 10° to 90°):
d = 3.145 Å, rel. 19, hkl 0 0 1; d = 2.616 Å, rel. 63, hkl 1 0 1; d = 2.356 Å, rel. 100, hkl 2 0 0; d = 2.057 Å, rel. 36, hkl 1 1 1; d = 1.886 Å, rel. 31, hkl 2 0 1; d = 1.550 Å, rel. 26, hkl 2 1 1; d = 1.360 Å, rel. 19, hkl 2 2 0; d = 1.308 Å, rel. 32, hkl 2 0 2; d = 1.207 Å, rel. 12, hkl 3 1 1; d = 1.178 Å, rel. 12, hkl 4 0 0

Atomic structure:
a = 5.4403 Å, b = 5.4403 Å, c = 3.1453 Å
α = 90.00°, β = 90.00°, γ = 120.00°
Space group P6/mmm (No. 191)
Inequivalent atoms, fractional coordinates:
Lu 0.0000 0.0000 0.0000 [1 per cell]
B 0.3333 0.6667 0.0000 [2 per cell]
Ir 0.0000 0.5000 0.5000 [3 per cell]

=====

[9]
Calculated X-ray powder pattern
Compound: Mg10B16Ir19
Radiation: Cu Kα, 1.54184 Å
Structure: a DFT-relaxed cell (PBE, the Materials Project)
Peak positions follow from Bragg's law for the DFT cell and can differ from measured ones.

Main lines, low angle first (2θ from 10° to 90°):
d = 4.345 Å, rel. 100, hkl 2 1 1; d = 2.845 Å, rel. 78, hkl 3 2 1; d = 2.661 Å, rel. 92, hkl 4 0 0; d = 2.509 Å, rel. 35, hkl 4 1 1; d = 2.173 Å, rel. 58, hkl 4 2 2; d = 2.087 Å, rel. 32, hkl 4 3 1; d = 1.881 Å, rel. 34, hkl 4 4 0; d = 1.774 Å, rel. 32, hkl 6 0 0; d = 1.727 Å, rel. 31, hkl 5 3 2; d = 1.254 Å, rel. 31, hkl 6 6 0

Atomic structure:
a = 10.6434 Å, b = 10.6434 Å, c = 10.6434 Å
α = 90.00°, β = 90.00°, γ = 90.00°
Space group I-43m (No. 217)
Inequivalent atoms, fractional coordinates:
Mg 0.0000 0.0000 0.3474 [12 per cell]
Mg 0.1669 0.1669 0.8331 [8 per cell]
B 0.0879 0.3363 0.6637 [24 per cell]
B 0.1116 0.1116 0.1116 [8 per cell]
Ir 0.0000 0.0000 0.0000 [2 per cell]
Ir 0.0000 0.2500 0.5000 [12 per cell]
Ir 0.0701 0.2522 0.2522 [24 per cell]

=====

[10]
Calculated X-ray powder pattern
Compound: Mg2MnB2Ir5
Radiation: Cu Kα, 1.54184 Å
Structure: a DFT-relaxed cell (PBE, the Materials Project)
Peak positions follow from Bragg's law for the DFT cell and can differ from measured ones.

Main lines, low angle first (2θ from 10° to 90°):
d = 4.240 Å, rel. 55, hkl 2 1 0; d = 2.998 Å, rel. 53, hkl 3 1 0; d = 2.930 Å, rel. 98, hkl 0 0 1; d = 2.630 Å, rel. 61, hkl 3 2 0; d = 2.299 Å, rel. 85, hkl 4 1 0; d = 2.120 Å, rel. 54, hkl 4 2 0; d = 2.095 Å, rel. 100, hkl 3 1 1; d = 1.957 Å, rel. 62, hkl 3 2 1; d = 1.809 Å, rel. 58, hkl 4 1 1; d = 1.219 Å, rel. 51, hkl 7 1 1

Atomic structure:
a = 9.4809 Å, b = 9.4809 Å, c = 2.9296 Å
α = 90.00°, β = 90.00°, γ = 90.00°
Space group P4/mbm (No. 127)
Inequivalent atoms, fractional coordinates:
Mg 0.1762 0.3238 0.0000 [4 per cell]
Mn 0.0000 0.0000 0.0000 [2 per cell]
B 0.1254 0.6254 0.0000 [4 per cell]
Ir 0.0000 0.5000 0.5000 [2 per cell]
Ir 0.0717 0.7856 0.5000 [8 per cell]

=====

[11]
Calculated X-ray powder pattern
Compound: Mg2TiB2Ir5
Radiation: Cu Kα, 1.54184 Å
Structure: a DFT-relaxed cell (PBE, the Materials Project)
Peak positions follow from Bragg's law for the DFT cell and can differ from measured ones.

Main lines, low angle first (2θ from 10° to 90°):
d = 4.265 Å, rel. 57, hkl 2 1 0; d = 3.016 Å, rel. 54, hkl 3 1 0; d = 2.957 Å, rel. 100, hkl 0 0 1; d = 2.645 Å, rel. 60, hkl 3 2 0; d = 2.313 Å, rel. 84, hkl 4 1 0; d = 2.133 Å, rel. 54, hkl 4 2 0; d = 2.111 Å, rel. 94, hkl 3 1 1; d = 1.972 Å, rel. 63, hkl 3 2 1; d = 1.822 Å, rel. 57, hkl 4 1 1; d = 1.227 Å, rel. 49, hkl 7 1 1

Atomic structure:
a = 9.5369 Å, b = 9.5369 Å, c = 2.9572 Å
α = 90.00°, β = 90.00°, γ = 90.00°
Space group P4/mbm (No. 127)
Inequivalent atoms, fractional coordinates:
Mg 0.1762 0.3238 0.0000 [4 per cell]
Ti 0.0000 0.0000 0.0000 [2 per cell]
B 0.1238 0.6238 0.0000 [4 per cell]
Ir 0.0000 0.5000 0.5000 [2 per cell]
Ir 0.0720 0.7843 0.5000 [8 per cell]